Structure and calculated XRD peak list of Sm2DyCu4Sn2Ge2 (a PBE-relaxed structure; λ = 1.5418 Å (Cu Kα)).

Largest 12 diffraction maxima, by intensity, 2θ from 10° to 90°:
| 2theta | I/Imax |
| --- | --- |
| 33.7 | 100 |
| 34.7 | 86 |
| 41.5 | 39 |
| 43.5 | 32 |
| 37.2 | 30 |
| 45.9 | 24 |
| 61.7 | 22 |
| 33.5 | 20 |
| 71.4 | 16 |
| 27.2 | 16 |
| 77.0 | 15 |
| 55.9 | 15 |

Atomic structure:
```
data_Sm2DyCu4Sn2Ge2
_symmetry_space_group_name_H-M 'P 1'
_symmetry_Int_Tables_number 1
_symmetry_space_group_name_Hall 'P 1'
_cell_length_a 8.3235
_cell_length_b 8.3235
_cell_length_c 8.3235
_cell_angle_alpha 149.69
_cell_angle_beta 130.97
_cell_angle_gamma 58.74
loop_
_atom_site_label
_atom_site_type_symbol
_atom_site_fract_x
_atom_site_fract_y
_atom_site_fract_z
Sm1 Sm 0.1369 0.1369 0.0000
Sm2 Sm 0.8631 0.8631 0.0000
Dy1 Dy 0.5000 0.0000 0.5000
Cu1 Cu 0.1414 0.3259 0.8156
Cu2 Cu 0.4897 0.6741 0.8156
Cu3 Cu 0.5103 0.3259 0.1844
Cu4 Cu 0.8586 0.6741 0.1844
Sn1 Sn 0.2025 0.5000 0.7025
Sn2 Sn 0.7975 0.5000 0.2975
Ge1 Ge 0.2846 0.7846 0.5000
Ge2 Ge 0.7154 0.2154 0.5000
```